1.
The following is a computed powder XRD pattern of Ba2H6PdAu. It was derived from a structure optimized by DFT (GGA-PBE), using Cu Kα, 1.54184 Å.
Intensities are scaled so that the largest is 100.

a b c (Å): 5.717 5.717 5.717
angles (deg): 60.00 60.00 60.00
Element x y z (fractional)
Ba 0.250 0.250 0.250
Ba 0.750 0.750 0.750
H 0.228 0.228 0.772
H 0.228 0.772 0.228
H 0.228 0.772 0.772
H 0.772 0.228 0.228
H 0.772 0.228 0.772
H 0.772 0.772 0.228
Pd 0.000 0.000 0.000
Au 0.500 0.500 0.500

Main lines, sorted by position (2θ from 5° to 70°):
| 2θ/deg | I_rel |
| --- | --- |
| 19.01 | 4.8 |
| 21.99 | 0.8 |
| 31.29 | 100.0 |
| 36.87 | 3.3 |
| 44.85 | 19.1 |
| 49.12 | 1.6 |
| 55.70 | 39.0 |
| 59.41 | 1.2 |
| 65.29 | 12.4 |
| 68.69 | 1.2 |

2.
The following is a computed powder XRD pattern of BaHg2Au3. It was derived from a structure optimized by DFT (GGA-PBE), using Cu Kα, 1.54184 Å.
Intensities are scaled so that the largest is 100.

a b c (Å): 4.379 4.379 9.304
angles (deg): 90.00 90.00 120.00
Element x y z (fractional)
Ba 0.000 0.000 0.000
Hg 0.333 0.667 0.354
Hg 0.667 0.333 0.646
Au 0.000 0.000 0.500
Au 0.333 0.667 0.778
Au 0.667 0.333 0.222

Main lines, sorted by position (2θ from 5° to 70°):
| 2θ/deg | I_rel |
| --- | --- |
| 9.51 | 23.5 |
| 30.41 | 100.0 |
| 37.46 | 22.5 |
| 41.23 | 53.3 |
| 45.76 | 19.1 |
| 52.09 | 22.7 |
| 54.96 | 13.8 |
| 56.92 | 6.8 |
| 63.28 | 6.8 |
| 68.50 | 20.2 |

3.
The following is a computed powder XRD pattern of BaSn2HgAu. It was derived from a structure optimized by DFT (GGA-PBE), using Cu Kα, 1.54184 Å.
Intensities are scaled so that the largest is 100.

a b c (Å): 4.978 4.978 11.778
angles (deg): 90.00 90.00 90.00
Element x y z (fractional)
Ba 0.250 0.250 0.236
Ba 0.750 0.750 0.764
Sn 0.250 0.250 0.889
Sn 0.250 0.750 0.500
Sn 0.750 0.250 0.500
Sn 0.750 0.750 0.111
Hg 0.250 0.250 0.646
Hg 0.750 0.750 0.354
Au 0.250 0.750 0.000
Au 0.750 0.250 0.000

Main lines, sorted by position (2θ from 5° to 70°):
| 2θ/deg | I_rel |
| --- | --- |
| 28.97 | 43.0 |
| 29.57 | 100.0 |
| 36.09 | 76.7 |
| 39.92 | 45.9 |
| 42.45 | 21.1 |
| 46.92 | 23.1 |
| 51.96 | 27.4 |
| 56.91 | 17.9 |
| 60.92 | 26.4 |
| 67.47 | 20.4 |